Starting from a crystal structure in the Materials Project, relaxed with GGA-PBE, the X-ray diffraction stick pattern of DySi2Pt2 was computed for Cu Ka.
Kinematic intensities with the Lorentz-polarization factor, no thermal factor.

Cell and atoms:
Cell: 4.194 4.194 9.870 Å, 90.00 90.00 90.00°
Positions (direct):
Dy1 0.000 0.000 0.000
Dy2 0.500 0.500 0.500
Si1 0.000 0.000 0.382
Si2 0.000 0.000 0.618
Si3 0.500 0.500 0.118
Si4 0.500 0.500 0.882
Pt1 0.000 0.500 0.250
Pt2 0.000 0.500 0.750
Pt3 0.500 0.000 0.250
Pt4 0.500 0.000 0.750

Main lines, by angle (2θ from 10° to 90°):
- 17.97°, rel. 20.4, (0 0 2)
- 35.31°, rel. 100.0, (1 1 2)
- 36.41°, rel. 18.2, (0 0 4)
- 43.14°, rel. 34.4, (2 0 0)
- 57.69°, rel. 19.7, (2 0 4)
- 74.01°, rel. 23.8, (3 1 2)

Starting from a crystal structure in the Materials Project, relaxed with GGA-PBE, the X-ray diffraction stick pattern of DySi2Pt2 was computed for Cu Ka.
Kinematic intensities with the Lorentz-polarization factor, no thermal factor.

Cell and atoms:
Cell: 4.187 4.187 9.879 Å, 90.00 90.00 90.00°
Positions (direct):
Dy1 0.250 0.250 0.246
Dy2 0.750 0.750 0.754
Si1 0.250 0.250 0.635
Si2 0.250 0.750 0.000
Si3 0.750 0.250 0.000
Si4 0.750 0.750 0.365
Pt1 0.250 0.250 0.876
Pt2 0.250 0.750 0.500
Pt3 0.750 0.250 0.500
Pt4 0.750 0.750 0.124

Main lines, by angle (2θ from 10° to 90°):
- 27.93°, rel. 29.9, (1 0 2)
- 31.54°, rel. 74.6, (1 1 1)
- 34.65°, rel. 71.5, (1 0 3)
- 35.34°, rel. 100.0, (1 1 2)
- 43.21°, rel. 71.1, (2 0 0)
- 56.53°, rel. 35.4, (2 1 3)

Starting from a crystal structure in the Materials Project, relaxed with GGA-PBE, the X-ray diffraction stick pattern of DySnPt was computed for Cu Ka.
Kinematic intensities with the Lorentz-polarization factor, no thermal factor.

Cell and atoms:
Cell: 7.543 7.543 4.010 Å, 90.00 90.00 120.00°
Positions (direct):
Dy1 0.000 0.406 0.000
Dy2 0.406 0.000 0.000
Dy3 0.594 0.594 0.000
Sn1 0.000 0.742 0.500
Sn2 0.258 0.258 0.500
Sn3 0.742 0.000 0.500
Pt1 0.000 0.000 0.000
Pt2 0.333 0.667 0.500
Pt3 0.667 0.333 0.500

Main lines, by angle (2θ from 10° to 90°):
- 32.59°, rel. 82.9, (1 1 1)
- 35.45°, rel. 100.0, (2 0 1)
- 36.39°, rel. 33.5, (2 1 0)
- 41.47°, rel. 48.5, (3 0 0)
- 43.02°, rel. 39.2, (2 1 1)
- 66.62°, rel. 35.2, (3 2 1)